[1]
Theoretical X-ray diffraction stick pattern of Sc4AgPd for Cu Kα, from the PBE geometry in Alexandria.

Most intense lines, 2θ = 10–90°, sorted by position:
- 2θ = 12.12°, I 245
- 2θ = 24.37°, I 294
- 2θ = 34.74°, I 194
- 2θ = 36.92°, I 1000
- 2θ = 40.33°, I 240
- 2θ = 42.89°, I 147
- 2θ = 51.59°, I 116
- 2θ = 62.27°, I 232
- 2θ = 67.90°, I 111
- 2θ = 74.64°, I 149

Crystal structure
Cell lengths 8.9462, 8.9462, 8.9462 Å; angles 60.00, 60.00, 60.00 degrees
Positions (direct):
Sc  0.0658  0.0658  0.4342
Sc  0.0658  0.4342  0.0658
Sc  0.0658  0.4342  0.4342
Sc  0.0942  0.6353  0.6353
Sc  0.1845  0.1845  0.8155
Sc  0.1845  0.8155  0.1845
Sc  0.1845  0.8155  0.8155
Sc  0.4342  0.0658  0.0658
Sc  0.4342  0.0658  0.4342
Sc  0.4342  0.4342  0.0658
Sc  0.6353  0.0942  0.6353
Sc  0.6353  0.6353  0.0942
Sc  0.6353  0.6353  0.6353
Sc  0.8155  0.1845  0.1845
Sc  0.8155  0.1845  0.8155
Sc  0.8155  0.8155  0.1845
Ag  0.4149  0.4149  0.4149
Ag  0.4149  0.4149  0.7552
Ag  0.4149  0.7552  0.4149
Ag  0.7552  0.4149  0.4149
Pd  0.4551  0.8483  0.8483
Pd  0.8483  0.4551  0.8483
Pd  0.8483  0.8483  0.4551
Pd  0.8483  0.8483  0.8483

[2]
Theoretical X-ray diffraction stick pattern of Sc2AgPd3 for Cu Kα, from the PBE geometry in Alexandria.

Most intense lines, 2θ = 10–90°, sorted by position:
- 2θ = 23.54°, I 290
- 2θ = 28.09°, I 178
- 2θ = 32.89°, I 364
- 2θ = 36.97°, I 1000
- 2θ = 38.10°, I 960
- 2θ = 38.67°, I 163
- 2θ = 40.14°, I 697
- 2θ = 43.28°, I 368
- 2θ = 56.54°, I 300
- 2θ = 81.50°, I 157

Crystal structure
Cell lengths 8.4386, 8.4386, 8.4386 Å; angles 115.66, 115.66, 97.69 degrees
Positions (direct):
Sc  0.2637  0.3287  0.5651
Sc  0.2637  0.6986  0.9349
Sc  0.3014  0.7363  0.5651
Sc  0.3287  0.2637  0.0651
Sc  0.6713  0.7363  0.9349
Sc  0.6986  0.2637  0.4349
Sc  0.7363  0.3014  0.0651
Sc  0.7363  0.6713  0.4349
Ag  0.0053  0.2553  0.7500
Ag  0.2553  0.0053  0.2500
Ag  0.7447  0.9947  0.7500
Ag  0.9947  0.7447  0.2500
Pd  0.0000  0.5000  0.5000
Pd  0.0964  0.3464  0.1928
Pd  0.0964  0.9036  0.7500
Pd  0.3464  0.0964  0.6928
Pd  0.3464  0.6536  0.2500
Pd  0.5000  0.0000  0.0000
Pd  0.5000  0.5000  0.0000
Pd  0.5000  0.5000  0.5000
Pd  0.6536  0.3464  0.7500
Pd  0.6536  0.9036  0.3072
Pd  0.9036  0.0964  0.2500
Pd  0.9036  0.6536  0.8072